For MgFe8O8F8, the PBE+U geometry in the Materials Project gives the computed powder X-ray diffraction pattern in this record (Cu Ka).
No peak broadening, texture or thermal motion is included.

Main lines, in order of rising 2θ (2θ from 5° to 70°):
- 2θ 25.6, intensity 977, hkl 0 2 2
- 2θ 26.0, intensity 1000, hkl 0 2 -2
- 2θ 34.3, intensity 633, hkl 1 2 0
- 2θ 34.3, intensity 315, hkl 1 0 -2
- 2θ 34.5, intensity 337, hkl 1 -2 0
- 2θ 50.9, intensity 275, hkl 1 4 2
- 2θ 51.2, intensity 268, hkl -1 4 2
- 2θ 59.8, intensity 268, hkl 2 0 0

abc: 3.0904 9.7272 9.8266
angles: 89.01 89.77 89.70
Fractional positions:
Mg  0.0000  0.0000  0.0000
Fe  0.0002  0.7633  0.5081
Fe  0.4790  0.5007  0.2478
Fe  0.4797  0.4830  0.7420
Fe  0.4982  0.9913  0.7354
Fe  0.4994  0.9914  0.3004
Fe  0.9700  0.7132  0.9464
Fe  0.9825  0.2672  0.9697
Fe  0.9922  0.2229  0.5047
O  0.0004  0.8849  0.3480
O  0.4750  0.6258  0.8784
O  0.4953  0.1443  0.4125
O  0.4960  0.1165  0.9270
O  0.4975  0.8422  0.5952
O  0.9804  0.3911  0.8098
O  0.9962  0.0959  0.6576
O  0.9957  0.8812  0.8415
F  0.4700  0.3602  0.0930
F  0.4866  0.3489  0.5773
F  0.4922  0.6457  0.4027
F  0.5122  0.8680  0.0790
F  0.9782  0.6159  0.1324
F  0.9818  0.3913  0.3485
F  0.9871  0.5896  0.6304
F  0.9990  0.0864  0.1781

---

For Li12V3NiP4C4O28, the PBE+U geometry in the Materials Project gives the computed powder X-ray diffraction pattern in this record (Cu Ka).
No peak broadening, texture or thermal motion is included.

Main lines, in order of rising 2θ (2θ from 5° to 70°):
- 2θ 10.5, intensity 712, hkl 1 0 0
- 2θ 19.9, intensity 334, hkl 1 0 -2
- 2θ 21.6, intensity 448, hkl 1 0 2
- 2θ 25.5, intensity 257, hkl 1 1 2
- 2θ 26.5, intensity 307, hkl 2 0 -2
- 2θ 27.0, intensity 1000, hkl 0 2 0
- 2θ 36.8, intensity 258, hkl 1 0 -4
- 2θ 40.7, intensity 184, hkl 3 1 2

abc: 8.4518 6.5935 9.9781
angles: 90.00 95.29 90.00
Fractional positions:
Li  0.0000  0.0000  0.0000
Li  0.0009  0.0000  0.4995
Li  0.1835  0.2236  0.2575
Li  0.1827  0.2252  0.7609
Li  0.1827  0.7748  0.7609
Li  0.1835  0.7764  0.2575
Li  0.6253  0.2768  0.5076
Li  0.6253  0.7232  0.5076
Li  0.6263  0.2770  0.0077
Li  0.6263  0.7230  0.0077
Li  0.8063  0.5000  0.2663
Li  0.8077  0.5000  0.7660
V  0.2319  0.5000  0.4871
V  0.5759  0.0000  0.2790
V  0.5759  0.0000  0.7796
Ni  0.2360  0.5000  0.9859
P  0.3144  0.0000  0.5229
P  0.3151  0.0000  0.0231
P  0.4919  0.5000  0.2418
P  0.4927  0.5000  0.7463
C  0.8705  0.0000  0.2309
C  0.8708  0.0000  0.7312
C  0.9374  0.5000  0.5343
C  0.9448  0.5000  0.0324
O  0.0175  0.0000  0.2041
O  0.0178  0.0000  0.7044
O  0.0517  0.5000  0.6312
O  0.0625  0.5000  0.1270
O  0.2107  0.1828  0.4690
O  0.2107  0.8172  0.4690
O  0.2125  0.1857  0.9700
O  0.2125  0.8143  0.9700
O  0.3249  0.5000  0.7976
O  0.3263  0.5000  0.2947
O  0.3340  0.0000  0.1803
O  0.3340  0.0000  0.6801
O  0.4681  0.5000  0.0840
O  0.4720  0.5000  0.5891
O  0.4822  0.0000  0.4732
O  0.4827  0.0000  0.9736
O  0.5970  0.3173  0.7988
O  0.5970  0.3176  0.2939
O  0.5970  0.6824  0.2939
O  0.5970  0.6827  0.7988
O  0.7567  0.0000  0.1338
O  0.7568  0.0000  0.6341
O  0.7908  0.5000  0.5614
O  0.7991  0.5000  0.0629
O  0.8313  0.0000  0.3539
O  0.8314  0.0000  0.8539
O  0.9766  0.5000  0.4112
O  0.9808  0.5000  0.9088

---

For Ca8Fe5W3O24, the PBE+U geometry in the Materials Project gives the computed powder X-ray diffraction pattern in this record (Cu Ka).
No peak broadening, texture or thermal motion is included.

Main lines, in order of rising 2θ (2θ from 5° to 70°):
- 2θ 19.5, intensity 314, hkl -1 1 1
- 2θ 19.8, intensity 284, hkl 1 1 -2
- 2θ 22.6, intensity 575, hkl 0 2 -1
- 2θ 31.8, intensity 337, hkl 2 -2 0
- 2θ 32.4, intensity 1000, hkl 2 0 -3
- 2θ 32.4, intensity 317, hkl 0 2 -3
- 2θ 32.7, intensity 310, hkl 2 2 -2
- 2θ 46.2, intensity 394, hkl 4 0 -2

abc: 7.8553 7.8649 9.5088
angles: 113.57 113.68 91.55
Fractional positions:
Ca  0.1375  0.1049  0.2532
Ca  0.1475  0.6023  0.2619
Ca  0.3301  0.8770  0.7385
Ca  0.3400  0.4116  0.7392
Ca  0.6600  0.5884  0.2608
Ca  0.6699  0.1230  0.2615
Ca  0.8525  0.3977  0.7381
Ca  0.8625  0.8951  0.7468
Fe  0.0000  0.0000  0.5000
Fe  0.0000  0.5000  0.5000
Fe  0.2486  0.7497  0.0005
Fe  0.5000  0.5000  0.5000
Fe  0.7514  0.2503  0.9995
W  0.2519  0.2526  0.9998
W  0.5000  0.0000  0.5000
W  0.7481  0.7474  0.0002
O  0.0133  0.7288  0.0542
O  0.0198  0.2209  0.4542
O  0.0980  0.5739  0.7528
O  0.1823  0.9899  0.9593
O  0.1895  0.1605  0.7570
O  0.2360  0.9316  0.4561
O  0.2783  0.5643  0.5414
O  0.3129  0.3418  0.2432
O  0.3236  0.5158  0.0497
O  0.4094  0.9416  0.2589
O  0.4771  0.2627  0.5486
O  0.4879  0.7749  0.9530
O  0.5121  0.2251  0.0470
O  0.5229  0.7373  0.4514
O  0.5906  0.0584  0.7411
O  0.6764  0.4842  0.9503
O  0.6871  0.6582  0.7568
O  0.7217  0.4357  0.4586
O  0.7640  0.0684  0.5439
O  0.8105  0.8395  0.2430
O  0.8177  0.0101  0.0407
O  0.9020  0.4261  0.2472
O  0.9802  0.7791  0.5458
O  0.9867  0.2712  0.9458

---

For LiTbW2O8, the PBE+U geometry in the Materials Project gives the computed powder X-ray diffraction pattern in this record (Cu Ka).
No peak broadening, texture or thermal motion is included.

Main lines, in order of rising 2θ (2θ from 5° to 70°):
- 2θ 17.6, intensity 322, hkl 0 0 2
- 2θ 23.0, intensity 268, hkl 1 1 -1
- 2θ 23.2, intensity 402, hkl 0 1 2
- 2θ 28.3, intensity 1000, hkl 1 1 1
- 2θ 29.9, intensity 848, hkl 1 1 -3
- 2θ 35.0, intensity 262, hkl 2 0 -2
- 2θ 35.2, intensity 300, hkl 1 2 -1
- 2θ 49.9, intensity 394, hkl 0 3 2

abc: 5.1378 5.8786 11.0054
angles: 90.00 113.44 90.00
Fractional positions:
Li  0.0000  0.1931  0.2500
Li  0.0000  0.8069  0.7500
Tb  0.5000  0.1934  0.7500
Tb  0.5000  0.8066  0.2500
W  0.2638  0.3253  0.0136
W  0.2638  0.6747  0.5136
W  0.7362  0.3253  0.4864
W  0.7362  0.6747  0.9864
O  0.1475  0.3924  0.5962
O  0.1475  0.6076  0.0962
O  0.2317  0.1269  0.1345
O  0.2317  0.8731  0.6345
O  0.2787  0.1271  0.8878
O  0.2787  0.8729  0.3878
O  0.3524  0.4130  0.3885
O  0.3524  0.5870  0.8885
O  0.6476  0.4130  0.1115
O  0.6476  0.5870  0.6115
O  0.7213  0.1271  0.6122
O  0.7213  0.8729  0.1122
O  0.7683  0.1269  0.3655
O  0.7683  0.8731  0.8655
O  0.8525  0.3924  0.9038
O  0.8525  0.6076  0.4038

---

For K3Mn4O8, the PBE+U geometry in the Materials Project gives the computed powder X-ray diffraction pattern in this record (Cu Ka).
No peak broadening, texture or thermal motion is included.

Main lines, in order of rising 2θ (2θ from 5° to 70°):
- 2θ 14.2, intensity 1000, hkl 0 0 2
- 2θ 28.6, intensity 472, hkl 0 0 4
- 2θ 32.6, intensity 352, hkl 2 2 0
- 2θ 34.6, intensity 155, hkl 2 -2 0
- 2θ 36.7, intensity 168, hkl 0 4 0
- 2θ 38.5, intensity 513, hkl 2 2 4
- 2θ 42.7, intensity 308, hkl -2 2 4
- 2θ 43.6, intensity 245, hkl 0 4 -2

abc: 6.3884 10.3562 13.1920
angles: 71.62 85.28 84.99
Fractional positions:
K  0.0000  0.0000  0.0000
K  0.0064  0.9907  0.4989
K  0.2212  0.3707  0.9933
K  0.2341  0.3453  0.4952
K  0.2583  0.6998  0.9982
K  0.2856  0.6812  0.4945
K  0.4895  0.0714  0.9973
K  0.5043  0.9932  0.4996
K  0.7280  0.3674  0.9956
K  0.7348  0.3450  0.4985
K  0.7516  0.7098  0.9976
K  0.7869  0.6868  0.4999
Mn  0.0035  0.0299  0.2495
Mn  0.2368  0.7818  0.2430
Mn  0.2422  0.2812  0.7511
Mn  0.2462  0.7852  0.7429
Mn  0.2507  0.2798  0.2476
Mn  0.4872  0.5309  0.2431
Mn  0.4903  0.5338  0.7436
Mn  0.4906  0.0344  0.7448
Mn  0.5010  0.0310  0.2485
Mn  0.7410  0.7813  0.2467
Mn  0.7446  0.2810  0.7530
Mn  0.7450  0.7847  0.7429
Mn  0.7593  0.2803  0.2541
Mn  0.9920  0.5311  0.2473
Mn  0.9974  0.0327  0.7486
Mn  0.9980  0.5324  0.7500
O  0.0091  0.2327  0.6752
O  0.0093  0.3382  0.8389
O  0.0127  0.7343  0.6666
O  0.0162  0.2310  0.1738
O  0.0179  0.3397  0.3350
O  0.0178  0.8393  0.8333
O  0.0204  0.8377  0.3368
O  0.2217  0.4702  0.6634
O  0.2233  0.4714  0.1603
O  0.2242  0.5811  0.3211
O  0.2255  0.9762  0.6605
O  0.2317  0.9735  0.1630
O  0.2645  0.0908  0.8338
O  0.2660  0.5956  0.8298
O  0.2714  0.0936  0.3340
O  0.4723  0.2276  0.6625
O  0.4760  0.2260  0.1579
O  0.4761  0.3324  0.8279
O  0.4756  0.7211  0.1604
O  0.4779  0.7287  0.6538
O  0.4796  0.8334  0.8187
O  0.4850  0.3336  0.3216
O  0.5198  0.8378  0.3375
O  0.7271  0.4712  0.6647
O  0.7318  0.9780  0.6622
O  0.7346  0.9755  0.1633
O  0.7594  0.0881  0.8328
O  0.7599  0.5845  0.3342
O  0.7604  0.5935  0.8304
O  0.7606  0.4774  0.1726
O  0.7684  0.0917  0.3331
O  0.9720  0.7211  0.1586

---

For LiVF3, the PBE+U geometry in the Materials Project gives the computed powder X-ray diffraction pattern in this record (Cu Ka).
No peak broadening, texture or thermal motion is included.

Main lines, in order of rising 2θ (2θ from 5° to 70°):
- 2θ 17.5, intensity 1000, hkl 1 0 0
- 2θ 23.1, intensity 84, hkl 1 0 1
- 2θ 30.5, intensity 78, hkl 1 1 0
- 2θ 35.2, intensity 103, hkl 1 0 2
- 2θ 38.6, intensity 118, hkl 2 0 1
- 2θ 43.6, intensity 160, hkl 1 1 2
- 2θ 47.3, intensity 201, hkl 2 0 2
- 2θ 57.3, intensity 101, hkl 2 1 2

abc: 5.8579 5.8579 5.8915
angles: 90.00 90.00 120.00
Fractional positions:
Li  0.3333  0.6667  0.2500
Li  0.6667  0.3333  0.7500
V  0.0000  0.0000  0.0000
V  0.0000  0.0000  0.5000
F  0.1522  0.3044  0.2500
F  0.1522  0.8478  0.2500
F  0.3044  0.1522  0.7500
F  0.6956  0.8478  0.2500
F  0.8478  0.1522  0.7500
F  0.8478  0.6956  0.7500